# NiO2
Simulated powder diffractogram, Cu Kα X-rays. Input: a cell relaxed with GGA+U.

Structure:
abc: 8.286 2.804 9.911
angles: 90.00 90.00 90.00
Space group Pnma (No. 62)
Inequivalent atoms, fractional coordinates:
Ni  0.050  0.250  0.116 [4 per cell]
Ni  0.090  0.250  0.597 [4 per cell]
O  0.058  0.750  0.715 [4 per cell]
O  0.089  0.250  0.933 [4 per cell]
O  0.117  0.750  0.474 [4 per cell]
O  0.189  0.750  0.161 [4 per cell]

Principal peaks in the range 2θ from 15° to 90°, by intensity:
| Position (°2θ) | I/Imax | index |
| --- | --- | --- |
| 21.4 | 100 | 2 0 0 |
| 38.5 | 94 | 1 1 2 |
| 20.9 | 92 | 1 0 2 |
| 37.3 | 54 | 3 0 2 |
| 54.1 | 33 | 2 1 4 |
| 36.3 | 32 | 0 0 4 |
| 66.7 | 32 | 0 2 0 |
| 67.8 | 29 | 4 1 4 |
| 38.8 | 28 | 2 1 0 |
| 55.1 | 25 | 4 1 0 |
| 17.9 | 22 | 0 0 2 |
| 50.4 | 15 | 1 1 4 |

=====

# NiO2
Simulated powder diffractogram, Cu Kα X-rays. Input: a cell relaxed with GGA+U.

Structure:
abc: 5.7281 5.7281 13.8736
angles: 90.00 90.00 120.00
Space group R3m (No. 160, hexagonal axes)
Inequivalent atoms, fractional coordinates:
Ni  0.0000  0.0000  0.0000 [3 per cell]
Ni  0.1694  0.3388  0.2133 [9 per cell]
O  0.0000  0.0000  0.1370 [3 per cell]
O  0.0000  0.0000  0.6188 [3 per cell]
O  0.0335  0.5168  0.1414 [9 per cell]
O  0.1746  0.3491  0.9525 [9 per cell]

Principal peaks in the range 2θ from 15° to 90°, by intensity:
| Position (°2θ) | I/Imax | index |
| --- | --- | --- |
| 19.2 | 100 | 0 0 3 |
| 36.8 | 88 | 0 2 1 |
| 22.0 | 57 | 0 1 2 |
| 44.9 | 53 | 0 2 4 |
| 36.9 | 43 | 1 1 3 |
| 31.5 | 42 | 1 0 4 |
| 65.1 | 34 | 2 2 0 |
| 65.7 | 31 | 2 0 8 |
| 59.7 | 28 | 0 2 7 |
| 19.0 | 20 | 1 0 1 |
| 37.1 | 19 | 0 1 5 |
| 68.6 | 16 | 2 2 3 |

=====

# NiO2
Simulated powder diffractogram, Cu Kα X-rays. Input: a cell relaxed with GGA+U.

Structure:
abc: 5.562 5.895 7.575
angles: 90.00 90.00 90.00
Space group Imma (No. 74)
Inequivalent atoms, fractional coordinates:
Ni  0.000  0.000  0.000 [4 per cell]
Ni  0.000  0.250  0.377 [4 per cell]
O  0.000  0.004  0.756 [8 per cell]
O  0.216  0.250  0.997 [8 per cell]

Principal peaks in the range 2θ from 15° to 90°, by intensity:
| Position (°2θ) | I/Imax | index |
| --- | --- | --- |
| 36.5 | 100 | 1 2 1 |
| 32.2 | 56 | 2 0 0 |
| 32.4 | 53 | 1 1 2 |
| 39.2 | 46 | 1 0 3 |
| 19.1 | 45 | 0 1 1 |
| 67.8 | 41 | 2 2 4 |
| 23.5 | 32 | 0 0 2 |
| 60.2 | 31 | 3 2 1 |
| 51.2 | 20 | 2 2 2 |
| 57.9 | 18 | 0 2 4 |
| 37.7 | 16 | 2 1 1 |
| 19.8 | 16 | 1 0 1 |

=====

# NiO3
Simulated powder diffractogram, Cu Kα X-rays. Input: a cell relaxed with GGA+U.

Structure:
abc: 4.006 6.051 8.393
angles: 90.00 90.00 90.00
Space group Cmmm (No. 65)
Inequivalent atoms, fractional coordinates:
Ni  0.000  0.000  0.000 [2 per cell]
O  0.000  0.000  0.500 [2 per cell]
O  0.250  0.250  0.000 [4 per cell]

Principal peaks in the range 2θ from 15° to 90°, by intensity:
| Position (°2θ) | I/Imax | index |
| --- | --- | --- |
| 21.2 | 100 | 0 0 2 |
| 34.3 | 54 | 1 1 2 |
| 26.7 | 54 | 1 1 0 |
| 28.8 | 30 | 1 1 1 |
| 59.6 | 17 | 2 2 2 |
| 32.0 | 17 | 0 0 3 |
| 51.4 | 15 | 1 1 4 |
| 43.1 | 13 | 0 0 4 |
| 55.5 | 12 | 1 3 2 |
| 56.2 | 11 | 2 2 1 |
| 55.0 | 11 | 2 2 0 |
| 42.1 | 11 | 1 1 3 |

=====

# Ni15O16
Simulated powder diffractogram, Cu Kα X-rays. Input: a cell relaxed with GGA+U.

Structure:
abc: 5.9040 5.9040 30.4091
angles: 90.00 90.00 120.00
Space group R-3m (No. 166, hexagonal axes)
Inequivalent atoms, fractional coordinates:
Ni  0.0000  0.0000  0.0000 [3 per cell]
Ni  0.0000  0.0000  0.1756 [6 per cell]
Ni  0.0000  0.0000  0.2561 [6 per cell]
Ni  0.0000  0.0000  0.5000 [3 per cell]
Ni  0.0000  0.5000  0.0000 [9 per cell]
Ni  0.0014  0.5007  0.2491 [18 per cell]
O  0.0000  0.0000  0.1136 [6 per cell]
O  0.0000  0.0000  0.3754 [6 per cell]
O  0.0013  0.5007  0.3721 [18 per cell]
O  0.0032  0.5016  0.1218 [18 per cell]

Principal peaks in the range 2θ from 15° to 90°, by intensity:
| Position (°2θ) | I/Imax | index |
| --- | --- | --- |
| 42.6 | 100 | 2 0 8 |
| 37.1 | 47 | 0 2 4 |
| 63.0 | 43 | 2 2 0 |
| 60.7 | 39 | 0 2 16 |
| 35.4 | 28 | 0 0 12 |
| 35.2 | 23 | 0 2 1 |
| 74.4 | 20 | 2 2 12 |
| 31.6 | 15 | 1 1 3 |
| 79.0 | 13 | 0 4 8 |
| 40.6 | 13 | 1 1 9 |
| 35.6 | 13 | 2 0 2 |
| 48.5 | 11 | 2 0 11 |

=====

# NiO2
Simulated powder diffractogram, Cu Kα X-rays. Input: a cell relaxed with GGA+U.

Structure:
abc: 5.6110 5.6110 14.1689
angles: 90.00 90.00 120.00
Space group P3m1 (No. 156)
Inequivalent atoms, fractional coordinates:
Ni  0.0000  0.0000  0.0000 [1 per cell]
Ni  0.0000  0.0000  0.3764 [1 per cell]
Ni  0.1680  0.3360  0.1620 [3 per cell]
Ni  0.3326  0.1663  0.8378 [3 per cell]
Ni  0.3333  0.6667  0.7160 [1 per cell]
Ni  0.5017  0.0033  0.4998 [3 per cell]
O  0.0000  0.0000  0.2320 [1 per cell]
O  0.0000  0.0000  0.7697 [1 per cell]
O  0.0388  0.5194  0.2354 [3 per cell]
O  0.1486  0.2972  0.9140 [3 per cell]
O  0.1778  0.3557  0.4304 [3 per cell]
O  0.2979  0.1489  0.0861 [3 per cell]
O  0.3333  0.6667  0.0945 [1 per cell]
O  0.3333  0.6667  0.5701 [1 per cell]
O  0.3708  0.1854  0.5715 [3 per cell]
O  0.5133  0.0267  0.7654 [3 per cell]
O  0.6667  0.3333  0.4310 [1 per cell]
O  0.6667  0.3333  0.9052 [1 per cell]

Principal peaks in the range 2θ from 15° to 90°, by intensity:
| Position (°2θ) | I/Imax | index |
| --- | --- | --- |
| 18.8 | 100 | 0 0 3 |
| 45.3 | 74 | 2 0 4 |
| 37.6 | 63 | 2 0 1 |
| 19.3 | 63 | 0 1 1 |
| 37.3 | 43 | 1 1 3 |
| 22.2 | 38 | 1 0 2 |
| 66.7 | 33 | 2 2 0 |
| 65.2 | 32 | 0 2 8 |
| 36.7 | 24 | 1 0 5 |
| 59.4 | 24 | 2 0 7 |
| 31.2 | 23 | 0 1 4 |
| 39.2 | 17 | 0 2 2 |

=====

Q: Which formula does entry 6 have?
A: NiO2